No. 1
Structure and computed X-ray powder pattern of RbZnPb (DFT lattice parameters and positions (GGA-PBE); a wavelength of 1.5418 Å).

Cell and atoms:
```
data_RbZnPb
_symmetry_space_group_name_H-M 'F -4 3 m'
_symmetry_Int_Tables_number 216
_symmetry_space_group_name_Hall 'F -4 2 3'
_cell_length_a 7.8018
_cell_length_b 7.8018
_cell_length_c 7.8018
_cell_angle_alpha 90.00
_cell_angle_beta 90.00
_cell_angle_gamma 90.00
loop_
_atom_site_label
_atom_site_type_symbol
_atom_site_fract_x
_atom_site_fract_y
_atom_site_fract_z
Rb1 Rb 0.0000 0.0000 0.0000
Zn1 Zn 0.0000 0.0000 0.5000
Pb1 Pb 0.2500 0.2500 0.2500
```

Largest 10 diffraction maxima, in order of rising 2θ, 10 to 90 degrees two-theta:
2theta	d_spacing	I (rel.)	(hkl)
19.71	4.504	71	1 1 1
32.46	2.758	100	2 2 0
38.26	2.352	41	3 1 1
46.56	1.950	18	4 0 0
51.03	1.790	18	3 3 1
57.90	1.593	38	4 2 2
61.79	1.501	14	5 1 1
67.97	1.379	12	4 4 0
71.55	1.319	14	5 3 1
77.36	1.234	17	6 2 0

No. 2
Structure and computed X-ray powder pattern of RbZr3Pb5 (DFT lattice parameters and positions (GGA-PBE); a wavelength of 1.5418 Å).

Cell and atoms:
```
data_RbZr3Pb5
_symmetry_space_group_name_H-M 'P 6/m m m'
_symmetry_Int_Tables_number 191
_symmetry_space_group_name_Hall '-P 6 2'
_cell_length_a 6.2013
_cell_length_b 6.2013
_cell_length_c 8.0322
_cell_angle_alpha 90.00
_cell_angle_beta 90.00
_cell_angle_gamma 120.00
loop_
_atom_site_label
_atom_site_type_symbol
_atom_site_fract_x
_atom_site_fract_y
_atom_site_fract_z
Rb1 Rb 0.0000 0.0000 0.0000
Zr1 Zr 0.0000 0.5000 0.5000
Pb1 Pb 0.0000 0.0000 0.5000
Pb2 Pb 0.3333 0.6667 0.1888
```

Largest 10 diffraction maxima, in order of rising 2θ, 10 to 90 degrees two-theta:
2theta	d_spacing	I (rel.)	(hkl)
27.74	3.216	51	1 0 2
28.79	3.101	100	1 1 0
33.47	2.677	29	0 0 3
35.24	2.547	35	2 0 1
40.41	2.232	59	2 0 2
44.72	2.027	39	1 1 3
50.37	1.812	21	2 1 2
51.02	1.790	21	3 0 0
59.64	1.550	25	2 2 0
70.14	1.342	21	2 2 3

No. 3
Structure and computed X-ray powder pattern of Re2PbW (DFT lattice parameters and positions (GGA-PBE); a wavelength of 1.5418 Å).

Cell and atoms:
```
data_Re2PbW
_symmetry_space_group_name_H-M 'F -4 3 m'
_symmetry_Int_Tables_number 216
_symmetry_space_group_name_Hall 'F -4 2 3'
_cell_length_a 6.4901
_cell_length_b 6.4901
_cell_length_c 6.4901
_cell_angle_alpha 90.00
_cell_angle_beta 90.00
_cell_angle_gamma 90.00
loop_
_atom_site_label
_atom_site_type_symbol
_atom_site_fract_x
_atom_site_fract_y
_atom_site_fract_z
Re1 Re 0.0000 0.0000 0.0000
Re2 Re 0.2500 0.2500 0.2500
Pb1 Pb 0.0000 0.0000 0.5000
W1 W 0.2500 0.2500 0.7500
```

Largest 4 diffraction maxima, in order of rising 2θ, 10 to 90 degrees two-theta:
2theta	d_spacing	I (rel.)	(hkl)
39.26	2.295	100	2 2 0
56.74	1.623	17	4 0 0
71.17	1.325	36	4 2 2
84.44	1.147	12	4 4 0

No. 4
Structure and computed X-ray powder pattern of ZrSiPbS3 (DFT lattice parameters and positions (GGA-PBE); a wavelength of 1.5418 Å).

Cell and atoms:
```
data_ZrSiPbS3
_symmetry_space_group_name_H-M 'C m c m'
_symmetry_Int_Tables_number 63
_symmetry_space_group_name_Hall '-C 2c 2'
_cell_length_a 3.6393
_cell_length_b 15.8603
_cell_length_c 8.9063
_cell_angle_alpha 90.00
_cell_angle_beta 90.00
_cell_angle_gamma 90.00
loop_
_atom_site_label
_atom_site_type_symbol
_atom_site_fract_x
_atom_site_fract_y
_atom_site_fract_z
Zr1 Zr 0.0000 0.0000 0.0000
Si1 Si 0.0000 0.4556 0.2500
Pb1 Pb 0.0000 0.2702 0.7500
S1 S 0.0000 0.1010 0.2500
S2 S 0.0000 0.3745 0.0501
```

Largest 10 diffraction maxima, in order of rising 2θ, 10 to 90 degrees two-theta:
2theta	d_spacing	I (rel.)	(hkl)
22.42	3.965	28	0 4 0
22.90	3.883	100	0 2 2
27.06	3.295	51	1 1 1
29.80	2.998	28	1 3 0
31.49	2.841	93	1 3 1
32.23	2.778	19	0 2 3
39.61	2.275	62	0 6 2
40.51	2.227	25	0 0 4
42.91	2.108	75	1 5 2
55.78	1.648	26	2 2 2